Diffraction record for KIn8Au2. The powder X-ray diffraction pattern is calculated, not measured: it uses the GGA-PBE geometry in Alexandria and Cu Ka.

Largest 10 diffraction maxima, low angle first, 10° ≤ 2θ ≤ 80°:
2θ (°)	I (rel.)
19.64	15
21.74	38
27.93	21
33.72	83
39.91	100
41.04	19
57.71	17
63.69	16
68.51	20
72.47	28

Atomic structure:
a = 6.392 Å, b = 6.392 Å, c = 9.576 Å
α = 90.00°, β = 90.00°, γ = 90.00°
Atoms (fractional coordinates):
K1 0.000 0.000 0.000
In1 0.252 0.252 0.311
In2 0.252 0.252 0.689
In3 0.252 0.748 0.311
In4 0.252 0.748 0.689
In5 0.748 0.252 0.311
In6 0.748 0.252 0.689
In7 0.748 0.748 0.311
In8 0.748 0.748 0.689
Au1 0.000 0.500 0.500
Au2 0.500 0.000 0.500


Diffraction record for Cs2Na4Tl3. The powder X-ray diffraction pattern is calculated, not measured: it uses the GGA-PBE geometry in Alexandria and Cu Ka.

Largest 10 diffraction maxima, low angle first, 10° ≤ 2θ ≤ 80°:
2θ (°)	I (rel.)
10.09	100
21.22	27
24.87	15
28.80	20
29.50	43
29.78	35
30.58	31
31.52	37
51.64	28
61.21	15

Atomic structure:
a = 10.740 Å, b = 9.416 Å, c = 7.085 Å
α = 79.86°, β = 59.65°, γ = 40.49°
Atoms (fractional coordinates):
Cs1 0.123 0.123 0.877
Cs2 0.877 0.877 0.123
Na1 0.168 0.513 0.487
Na2 0.487 0.832 0.168
Na3 0.513 0.168 0.832
Na4 0.832 0.487 0.513
Tl1 0.000 0.000 0.500
Tl2 0.500 0.500 0.000
Tl3 0.500 0.500 0.500